(1)
Simulated powder X-ray diffraction pattern of Dy2TiO5 for Cu Kα (λ = 1.5418 Å), from DFT lattice parameters and positions (GGA-PBE).
Peak positions follow from Bragg's law for the DFT cell and can differ from measured ones.

Crystal structure
```
data_Dy2TiO5
_chemical_formula_sum 'Dy8 Ti4 O20'
_cell_length_a 11.8024
_cell_length_b 5.2719
_cell_length_c 7.5154
_cell_angle_alpha 90.00
_cell_angle_beta 114.10
_cell_angle_gamma 90.00
_symmetry_space_group_name_H-M 'C 1 2/c 1'
_symmetry_Int_Tables_number 15
loop_
_symmetry_equiv_pos_as_xyz
'x,y,z'
'-x,-y,-z'
'-x,y,-z+1/2'
'x,-y,z+1/2'
'x+1/2,y+1/2,z'
'-x+1/2,-y+1/2,-z'
'-x+1/2,y+1/2,-z+1/2'
'x+1/2,-y+1/2,z+1/2'
loop_
_atom_site_label
_atom_site_type_symbol
_atom_site_fract_x
_atom_site_fract_y
_atom_site_fract_z
Dy1 Dy 0.1413 0.0158 0.2630
Ti1 Ti 0.0000 0.5000 0.0000
O1 O 0.0000 0.3369 0.2500
O2 O 0.0735 0.1848 0.9617
O3 O 0.1678 0.3466 0.6380
```

Top 10 peaks for 10 to 80 degrees two-theta, in order of rising 2θ:
- 18.74°, rel. 66, (1 1 0)
- 25.98°, rel. 48, (0 0 2)
- 29.28°, rel. 87, (1 1 -2)
- 30.11°, rel. 100, (3 1 0)
- 32.56°, rel. 35, (3 1 -2)
- 32.84°, rel. 33, (4 0 -2)
- 33.26°, rel. 25, (4 0 0)
- 34.01°, rel. 37, (0 2 0)
- 43.29°, rel. 28, (0 2 2)
- 48.00°, rel. 39, (4 2 -2)


(2)
Simulated powder X-ray diffraction pattern of Dy12Tl6O for Cu Kα (λ = 1.5418 Å), from DFT lattice parameters and positions (GGA-PBE).
Peak positions follow from Bragg's law for the DFT cell and can differ from measured ones.

Crystal structure
```
data_Dy12Tl6O
_chemical_formula_sum 'Dy36 Tl18 O3'
_cell_length_a 12.0436
_cell_length_b 12.0436
_cell_length_c 13.0434
_cell_angle_alpha 90.00
_cell_angle_beta 90.00
_cell_angle_gamma 120.00
_symmetry_space_group_name_H-M 'R -3'
_symmetry_Int_Tables_number 148
_symmetry_space_group_name_Hall '-R 3'
loop_
_atom_site_label
_atom_site_type_symbol
_atom_site_fract_x
_atom_site_fract_y
_atom_site_fract_z
Dy1 Dy 0.0338 0.1801 0.3896
Dy2 Dy 0.0343 0.8505 0.8824
Tl1 Tl 0.0017 0.3913 0.2549
O1 O 0.0000 0.0000 0.5000
```

Top 10 peaks for 10 to 80 degrees two-theta, in order of rising 2θ:
- 25.27°, rel. 17, (2 -1 3)
- 28.68°, rel. 52, (1 0 4)
- 29.67°, rel. 26, (2 2 0)
- 31.68°, rel. 100, (1 3 1)
- 33.90°, rel. 36, (3 1 2)
- 36.29°, rel. 95, (4 -2 3)
- 41.52°, rel. 29, (0 0 6)
- 58.96°, rel. 18, (4 -3 7)
- 64.11°, rel. 16, (5 3 2)
- 69.18°, rel. 17, (7 -1 5)


(3)
Simulated powder X-ray diffraction pattern of Dy5Tl2O2 for Cu Kα (λ = 1.5418 Å), from DFT lattice parameters and positions (GGA-PBE).
Peak positions follow from Bragg's law for the DFT cell and can differ from measured ones.

Crystal structure
```
data_Dy5Tl2O2
_chemical_formula_sum 'Dy20 Tl8 O8'
_cell_length_a 6.7533
_cell_length_b 18.6357
_cell_length_c 6.8221
_cell_angle_alpha 90.00
_cell_angle_beta 90.00
_cell_angle_gamma 90.00
_symmetry_space_group_name_H-M 'I m m a'
_symmetry_Int_Tables_number 74
_symmetry_space_group_name_Hall '-I 2b 2'
loop_
_atom_site_label
_atom_site_type_symbol
_atom_site_fract_x
_atom_site_fract_y
_atom_site_fract_z
Dy1 Dy 0.0000 0.1370 0.0634
Dy2 Dy 0.2500 0.0097 0.7500
Dy3 Dy 0.2500 0.2500 0.7500
Tl1 Tl 0.0000 0.1262 0.5169
O1 O 0.0000 0.0000 0.0000
O2 O 0.0000 0.2500 0.9712
```

Top 10 peaks for 10 to 80 degrees two-theta, in order of rising 2θ:
- 27.27°, rel. 14, (0 5 1)
- 32.53°, rel. 81, (0 4 2)
- 32.76°, rel. 100, (2 4 0)
- 37.48°, rel. 64, (2 0 2)
- 38.66°, rel. 32, (0 8 0)
- 54.34°, rel. 13, (4 0 0)
- 54.93°, rel. 37, (2 8 2)
- 64.38°, rel. 14, (2 4 4)
- 64.78°, rel. 23, (4 4 2)
- 68.66°, rel. 11, (4 8 0)